(1)
CoPb2WO6: computed powder diffractogram (Cu Kα X-rays), based on a cell relaxed with PBE+U.
Kinematic intensities with the Lorentz-polarization factor, no thermal factor.

Cell: 5.709 5.709 5.780 Å, 120.26 120.26 60.18°
Atoms (fractional coordinates):
Co1 0.000 0.000 0.000
Pb1 0.250 0.250 0.741
Pb2 0.750 0.750 0.259
W1 0.500 0.500 0.500
O1 0.226 0.708 0.704
O2 0.261 0.261 0.202
O3 0.292 0.774 0.296
O4 0.708 0.226 0.704
O5 0.739 0.739 0.798
O6 0.774 0.292 0.296

Peak list (12 most intense, 10 to 90 degrees two-theta, by intensity)
d 2.859, intensity 100.0
d 2.034, intensity 21.4
d 1.652, intensity 20.7
d 2.890, intensity 19.7
d 1.645, intensity 12.5
d 2.008, intensity 10.0
d 1.431, intensity 9.8
d 1.660, intensity 8.6
d 1.664, intensity 8.4
d 1.283, intensity 7.2
d 1.427, intensity 6.3
d 4.694, intensity 5.7

=====

(2)
Pr2CoO4: computed powder diffractogram (Cu Kα X-rays), based on a cell relaxed with PBE+U.
Kinematic intensities with the Lorentz-polarization factor, no thermal factor.

Cell: 6.894 6.894 6.894 Å, 147.33 147.33 46.87°
Atoms (fractional coordinates):
Pr1 0.137 0.137 0.000
Pr2 0.863 0.863 0.000
Co1 0.500 0.500 0.000
O1 0.000 0.500 0.500
O2 0.319 0.319 0.000
O3 0.500 0.000 0.500
O4 0.681 0.681 0.000

Peak list (12 most intense, 10 to 90 degrees two-theta, by intensity)
d 2.854, intensity 100.0
d 2.742, intensity 73.7
d 1.939, intensity 36.8
d 1.604, intensity 36.6
d 2.072, intensity 33.2
d 3.708, intensity 30.6
d 2.119, intensity 23.4
d 1.226, intensity 20.1
d 1.371, intensity 19.5
d 3.163, intensity 14.4
d 1.638, intensity 12.4
d 1.431, intensity 12.2

=====

(3)
SrPrCoRuO6: computed powder diffractogram (Cu Kα X-rays), based on a cell relaxed with PBE+U.
Kinematic intensities with the Lorentz-polarization factor, no thermal factor.

Cell: 5.612 5.663 9.704 Å, 90.00 125.22 90.00°
Atoms (fractional coordinates):
Sr1 0.000 0.215 0.000
Sr2 0.000 0.785 0.500
Pr1 0.513 0.298 0.498
Pr2 0.513 0.702 0.998
Co1 0.255 0.246 0.749
Co2 0.255 0.754 0.249
Ru1 0.755 0.248 0.250
Ru2 0.755 0.752 0.750
O1 0.083 0.238 0.492
O2 0.083 0.762 0.992
O3 0.447 0.271 0.006
O4 0.447 0.729 0.506
O5 0.510 0.050 0.292
O6 0.510 0.950 0.792
O7 0.580 0.475 0.787
O8 0.580 0.525 0.287
O9 0.909 0.039 0.706
O10 0.909 0.961 0.206
O11 0.994 0.463 0.213
O12 0.994 0.537 0.713

Peak list (12 most intense, 10 to 90 degrees two-theta, by intensity)
d 2.810, intensity 100.0
d 1.993, intensity 21.3
d 2.831, intensity 18.4
d 1.623, intensity 16.7
d 1.620, intensity 13.7
d 1.982, intensity 12.1
d 1.631, intensity 11.5
d 1.404, intensity 8.8
d 4.599, intensity 8.7
d 1.254, intensity 6.7
d 1.406, intensity 5.8
d 1.933, intensity 4.8